Entry 1:
# Cs3Au2Br9
Computed PXRD pattern, Cu Kα X-rays. Input: a crystal structure in Alexandria, relaxed with GGA-PBE.
Peak positions follow from Bragg's law for the DFT cell and can differ from measured ones.

Atomic structure:
```
14
Lattice="7.719 0.000 0.000 -3.860 6.685 0.000 0.000 0.000 9.498" Properties=species:S:1:pos:R:3 pbc="T T T"
Cs 0.000 0.000 0.000
Cs 0.000 4.457 3.301
Cs 3.860 2.228 6.196
Au 0.000 4.457 7.920
Au 3.860 2.228 1.577
Br -1.930 3.343 0.000
Br 0.000 2.269 6.483
Br -1.895 5.551 6.483
Br 1.965 1.134 3.015
Br 3.860 0.000 0.000
Br 1.930 3.343 0.000
Br 1.895 5.551 6.483
Br 5.755 1.134 3.015
Br 3.860 4.417 3.015
```

Peak list (6 most intense, 15 to 90 degrees two-theta, most intense first)
32.76°, I 100
23.00°, I 68
28.30°, I 36
47.09°, I 36
46.94°, I 35
16.21°, I 28

=====

Entry 2:
# Ba2BiPd6
Computed PXRD pattern, Cu Kα X-rays. Input: a crystal structure in Alexandria, relaxed with GGA-PBE.
Peak positions follow from Bragg's law for the DFT cell and can differ from measured ones.

Atomic structure:
```
9
Lattice="5.355 -3.043 0.000 5.355 3.043 0.000 -1.704 0.000 6.268" Properties=species:S:1:pos:R:3 pbc="T T T"
Ba 0.892 0.000 1.973
Ba 8.113 0.000 4.295
Bi 4.503 0.000 3.134
Pd 3.463 1.627 1.114
Pd 5.543 1.627 5.155
Pd 2.660 0.000 5.252
Pd 6.346 0.000 1.016
Pd 3.463 -1.627 1.114
Pd 5.543 -1.627 5.155
```

Peak list (6 most intense, 15 to 90 degrees two-theta, most intense first)
38.95°, I 100
31.24°, I 46
35.30°, I 43
60.10°, I 25
34.72°, I 20
32.71°, I 18

=====

Entry 3:
# Sm2Y2Ga4Sn
Computed PXRD pattern, Cu Kα X-rays. Input: a crystal structure in Alexandria, relaxed with GGA-PBE.
Peak positions follow from Bragg's law for the DFT cell and can differ from measured ones.

Atomic structure:
```
9
Lattice="-3.571 3.571 4.673 3.571 -3.571 4.673 3.571 3.571 -4.673" Properties=species:S:1:pos:R:3 pbc="T T T"
Sm 0.000 0.000 1.780
Sm 0.000 0.000 7.567
Y 3.571 0.000 2.337
Y 0.000 3.571 2.337
Ga 1.696 1.696 0.000
Ga 1.874 -1.874 4.673
Ga -1.874 1.874 4.673
Ga 1.874 1.874 4.673
Sn 0.000 0.000 4.673
```

Peak list (6 most intense, 15 to 90 degrees two-theta, most intense first)
31.53°, I 100
35.56°, I 88
40.45°, I 54
31.32°, I 42
17.56°, I 36
51.17°, I 30

=====

Entry 4:
# Sm3AuO
Computed PXRD pattern, Cu Kα X-rays. Input: a crystal structure in Alexandria, relaxed with GGA-PBE.
Peak positions follow from Bragg's law for the DFT cell and can differ from measured ones.

Atomic structure:
```
10
Lattice="4.709 -6.487 0.000 4.709 6.487 0.000 0.000 0.000 3.833" Properties=species:S:1:pos:R:3 pbc="T T T"
Sm 2.931 1.706 1.917
Sm 4.709 4.100 0.000
Sm 2.931 -1.706 1.917
Sm 6.487 1.706 1.917
Sm 4.709 -4.100 0.000
Sm 6.487 -1.706 1.917
Au 0.000 0.000 1.917
Au 4.709 0.000 0.000
O 2.355 3.244 0.000
O 2.355 -3.244 0.000
```

Peak list (6 most intense, 15 to 90 degrees two-theta, most intense first)
32.63°, I 100
30.06°, I 41
37.68°, I 39
33.55°, I 37
58.63°, I 32
35.33°, I 28

=====

Entry 5:
# EuBi2BrO4
Computed PXRD pattern, Cu Kα X-rays. Input: a crystal structure in Alexandria, relaxed with GGA-PBE.
Peak positions follow from Bragg's law for the DFT cell and can differ from measured ones.

Atomic structure:
```
8
Lattice="3.952 0.000 0.000 0.000 3.952 0.000 0.000 0.000 9.442" Properties=species:S:1:pos:R:3 pbc="T T T"
Eu 0.000 0.000 0.000
Bi 1.976 1.976 2.558
Bi 1.976 1.976 6.884
Br 0.000 0.000 4.721
O 0.000 1.976 1.457
O 0.000 1.976 7.985
O 1.976 0.000 1.457
O 1.976 0.000 7.985
```

Peak list (6 most intense, 15 to 90 degrees two-theta, most intense first)
29.48°, I 100
55.52°, I 35
32.03°, I 34
50.62°, I 23
45.93°, I 19
61.17°, I 10

=====

Entry 6:
# Ca2Ac2Au3
Computed PXRD pattern, Cu Kα X-rays. Input: a crystal structure in Alexandria, relaxed with GGA-PBE.
Peak positions follow from Bragg's law for the DFT cell and can differ from measured ones.

Atomic structure:
```
14
Lattice="8.195 -2.359 0.000 8.195 2.359 0.000 -8.087 0.000 11.291" Properties=species:S:1:pos:R:3 pbc="T T T"
Ca -0.062 0.000 1.758
Ca -2.431 0.000 9.538
Ca 10.733 0.000 1.752
Ca 8.364 0.000 9.532
Ac 2.057 0.000 5.147
Ac 5.285 0.000 2.229
Ac 3.018 0.000 9.062
Ac 6.246 0.000 6.144
Au -4.282 0.000 7.057
Au -5.419 0.000 11.252
Au -0.028 0.000 7.641
Au 8.331 0.000 3.650
Au 13.721 0.000 0.039
Au 12.584 0.000 4.234
```

Peak list (6 most intense, 15 to 90 degrees two-theta, most intense first)
31.85°, I 100
32.07°, I 85
34.14°, I 69
38.15°, I 68
25.24°, I 55
22.91°, I 54

=====

Entry 7:
# Sr2CaPb3
Computed PXRD pattern, Cu Kα X-rays. Input: a crystal structure in Alexandria, relaxed with GGA-PBE.
Peak positions follow from Bragg's law for the DFT cell and can differ from measured ones.

Atomic structure:
```
12
Lattice="2.920 -8.796 0.000 2.920 8.796 0.000 0.000 0.000 7.871" Properties=species:S:1:pos:R:3 pbc="T T T"
Sr 0.000 0.000 0.000
Sr 0.000 0.000 3.935
Sr 2.920 2.897 0.000
Sr 2.920 -2.897 0.000
Ca 2.920 2.906 3.935
Ca 2.920 -2.906 3.935
Pb 2.920 5.788 2.084
Pb 2.920 5.788 5.786
Pb 2.920 0.000 2.045
Pb 2.920 0.000 5.826
Pb 2.920 -5.788 2.084
Pb 2.920 -5.788 5.786
```

Peak list (6 most intense, 15 to 90 degrees two-theta, most intense first)
31.37°, I 100
21.47°, I 28
30.61°, I 27
30.49°, I 27
54.89°, I 21
43.75°, I 20

=====

Entry 8:
# Ba2Eu2Ti2Cu2O11
Computed PXRD pattern, Cu Kα X-rays. Input: a crystal structure in Alexandria, relaxed with GGA-PBE.
Peak positions follow from Bragg's law for the DFT cell and can differ from measured ones.

Atomic structure:
```
19
Lattice="3.924 0.000 0.000 0.000 3.924 0.000 0.000 0.000 16.006" Properties=species:S:1:pos:R:3 pbc="T T T"
Ba 0.000 0.000 3.805
Ba 0.000 0.000 12.201
Eu 0.000 0.000 0.000
Eu 0.000 0.000 8.003
Ti 1.962 1.962 5.995
Ti 1.962 1.962 10.011
Cu 1.962 1.962 1.751
Cu 1.962 1.962 14.255
O 0.000 1.962 1.519
O 0.000 1.962 6.154
O 0.000 1.962 9.852
O 0.000 1.962 14.486
O 1.962 0.000 1.519
O 1.962 0.000 6.154
O 1.962 0.000 9.852
O 1.962 0.000 14.486
O 1.962 1.962 4.103
O 1.962 1.962 8.003
O 1.962 1.962 11.903
```

Peak list (6 most intense, 15 to 90 degrees two-theta, most intense first)
31.94°, I 100
32.26°, I 47
57.33°, I 37
46.27°, I 31
39.52°, I 25
56.72°, I 17

=====

Entry 9:
# PrNd3Sm7
Computed PXRD pattern, Cu Kα X-rays. Input: a crystal structure in Alexandria, relaxed with GGA-PBE.
Peak positions follow from Bragg's law for the DFT cell and can differ from measured ones.

Atomic structure:
```
11
Lattice="5.934 -5.108 0.000 5.934 5.108 0.000 -0.608 0.000 6.467" Properties=species:S:1:pos:R:3 pbc="T T T"
Pr 0.000 0.000 0.000
Nd 5.630 1.770 3.234
Nd 5.934 0.000 0.000
Nd 5.630 -1.770 3.234
Sm -0.304 0.000 3.234
Sm 2.462 1.767 4.921
Sm 2.940 0.000 1.872
Sm 2.462 -1.767 4.921
Sm 8.797 1.767 1.546
Sm 8.319 0.000 4.595
Sm 8.797 -1.767 1.546
```

Peak list (6 most intense, 15 to 90 degrees two-theta, most intense first)
30.25°, I 100
30.95°, I 59
36.76°, I 39
32.79°, I 39
50.08°, I 29
63.01°, I 22

=====

Entry 10:
# Sm4ZnCo2
Computed PXRD pattern, Cu Kα X-rays. Input: a crystal structure in Alexandria, relaxed with GGA-PBE.
Peak positions follow from Bragg's law for the DFT cell and can differ from measured ones.

Atomic structure:
```
7
Lattice="2.347 1.355 8.965 -2.347 1.355 8.965 0.000 -2.711 8.965" Properties=species:S:1:pos:R:3 pbc="T T T"
Sm 0.000 0.000 3.105
Sm 0.000 0.000 7.937
Sm 0.000 0.000 18.957
Sm 0.000 0.000 23.789
Zn 0.000 0.000 13.447
Co 0.000 0.000 10.980
Co 0.000 0.000 15.915
```

Peak list (6 most intense, 15 to 90 degrees two-theta, most intense first)
38.34°, I 100
27.50°, I 100
40.21°, I 61
32.05°, I 39
56.78°, I 32
47.83°, I 22